For CoOF, a DFT-relaxed cell (PBE+U, the Materials Project) gives the calculated X-ray powder pattern in this record (λ = 1.5418 Å (Cu Kα)).
Lines closer than 0.1° are merged.

Structure:
```
data_CoOF
_chemical_formula_sum 'Co6 O6 F6'
_symmetry_space_group_name_H-M 'P 1 2/m 1'
_symmetry_Int_Tables_number 10
_cell_length_a 4.710
_cell_length_b 2.890
_cell_length_c 13.958
_cell_angle_alpha 90.00
_cell_angle_beta 94.31
_cell_angle_gamma 90.00
loop_
_symmetry_equiv_pos_as_xyz
'x,y,z'
'-x,-y,-z'
'-x,y,-z'
'x,-y,z'
loop_
_atom_site_label
_atom_site_type_symbol
_atom_site_fract_x
_atom_site_fract_y
_atom_site_fract_z
_atom_site_occupancy
Co1 Co 0.000 0.000 0.000 1
Co2 Co 0.033 0.000 0.329 1
Co3 Co 0.416 0.500 0.835 1
Co4 Co 0.500 0.500 0.500 1
O1 O 0.137 0.500 0.737 1
O2 O 0.215 0.500 0.393 1
O3 O 0.261 0.000 0.896 1
F1 F 0.249 0.500 0.070 1
F2 F 0.290 0.000 0.566 1
F3 F 0.390 0.000 0.228 1
```

Main lines, by angle (2θ = 10–80°):
| (hkl) | 2θ/deg | I_rel |
| --- | --- | --- |
| 1 0 -3 | 25.96 | 100 |
| 1 0 3 | 28.03 | 83 |
| 1 1 0 | 36.50 | 45 |
| 0 1 3 | 36.63 | 50 |
| 1 1 3 | 42.23 | 14 |
| 2 1 -3 | 52.89 | 23 |
| 1 1 -6 | 53.18 | 28 |
| 2 1 3 | 55.21 | 17 |
| 1 1 6 | 55.50 | 28 |
| 2 0 6 | 57.94 | 12 |
| 0 2 0 | 64.48 | 14 |
| 0 1 9 | 68.86 | 20 |


For Co2O3F, a DFT-relaxed cell (PBE+U, the Materials Project) gives the calculated X-ray powder pattern in this record (λ = 1.5418 Å (Cu Kα)).
Lines closer than 0.1° are merged.

Structure:
```
data_Co2O3F
_chemical_formula_sum 'Co20 O30 F10'
_symmetry_space_group_name_H-M 'A m m 2'
_symmetry_Int_Tables_number 38
_cell_length_a 14.655
_cell_length_b 6.145
_cell_length_c 6.688
_cell_angle_alpha 90.00
_cell_angle_beta 90.00
_cell_angle_gamma 90.00
loop_
_symmetry_equiv_pos_as_xyz
'x,y,z'
'-x,-y,z'
'-x,y,z'
'x,-y,z'
'x,y+1/2,z+1/2'
'-x,-y+1/2,z+1/2'
'-x,y+1/2,z+1/2'
'x,-y+1/2,z+1/2'
loop_
_atom_site_label
_atom_site_type_symbol
_atom_site_fract_x
_atom_site_fract_y
_atom_site_fract_z
_atom_site_occupancy
Co1 Co 0.000 0.000 0.000 1
Co2 Co 0.099 0.000 0.538 1
Co3 Co 0.200 0.000 0.000 1
Co4 Co 0.301 0.000 0.541 1
Co5 Co 0.400 0.000 0.010 1
Co6 Co 0.500 0.000 0.472 1
O1 O 0.000 0.195 0.513 1
O2 O 0.094 0.000 0.823 1
O3 O 0.199 0.193 0.519 1
O4 O 0.303 0.000 0.827 1
O5 O 0.399 0.193 0.510 1
O6 O 0.500 0.000 0.191 1
F1 F 0.095 0.000 0.202 1
F2 F 0.297 0.000 0.216 1
F3 F 0.500 0.000 0.801 1
```

Main lines, by angle (2θ = 10–80°):
| (hkl) | 2θ/deg | I_rel |
| --- | --- | --- |
| 0 0 2 | 26.66 | 95 |
| 0 2 0 | 29.06 | 88 |
| 5 1 1 | 36.53 | 100 |
| 0 2 2 | 39.85 | 19 |
| 5 0 2 | 40.94 | 15 |
| 5 2 0 | 42.63 | 11 |
| 5 1 3 | 53.77 | 53 |
| 0 0 4 | 54.91 | 14 |
| 5 3 1 | 56.51 | 50 |
| 0 4 0 | 60.24 | 14 |
| 10 0 0 | 63.48 | 15 |
| 5 3 3 | 70.16 | 44 |


For Co2O3F, a DFT-relaxed cell (PBE+U, the Materials Project) gives the calculated X-ray powder pattern in this record (λ = 1.5418 Å (Cu Kα)).
Lines closer than 0.1° are merged.

Structure:
```
data_Co2O3F
_chemical_formula_sum 'Co8 O12 F4'
_symmetry_space_group_name_H-M 'P -1'
_symmetry_Int_Tables_number 2
_cell_length_a 6.006
_cell_length_b 6.564
_cell_length_c 6.774
_cell_angle_alpha 89.96
_cell_angle_beta 63.74
_cell_angle_gamma 89.96
loop_
_symmetry_equiv_pos_as_xyz
'x,y,z'
'-x,-y,-z'
loop_
_atom_site_label
_atom_site_type_symbol
_atom_site_fract_x
_atom_site_fract_y
_atom_site_fract_z
_atom_site_occupancy
Co1 Co 0.124 0.215 0.250 1
Co2 Co 0.125 0.250 0.749 1
Co3 Co 0.374 0.716 0.750 1
Co4 Co 0.375 0.750 0.249 1
O1 O 0.022 0.750 0.956 1
O2 O 0.123 0.929 0.252 1
O3 O 0.223 0.750 0.556 1
O4 O 0.273 0.250 0.455 1
O5 O 0.375 0.429 0.749 1
O6 O 0.473 0.250 0.057 1
F1 F 0.123 0.534 0.249 1
F2 F 0.372 0.034 0.752 1
```

Main lines, by angle (2θ = 10–80°):
| (hkl) | 2θ/deg | I_rel |
| --- | --- | --- |
| 0 2 0 | 27.17 | 81 |
| 0 0 2 | 29.41 | 77 |
| 2 1 0 | 36.06 | 100 |
| 0 2 2 | 40.47 | 15 |
| 2 2 1 | 40.73 | 15 |
| 2 0 -1 | 42.32 | 11 |
| 2 -3 2 | 54.01 | 46 |
| 0 4 0 | 56.04 | 12 |
| 2 1 4 | 56.58 | 45 |
| 0 0 4 | 61.01 | 13 |
| 4 0 2 | 61.78 | 15 |
| 2 -3 4 | 70.73 | 28 |


For Co2O3F, a DFT-relaxed cell (PBE+U, the Materials Project) gives the calculated X-ray powder pattern in this record (λ = 1.5418 Å (Cu Kα)).
Lines closer than 0.1° are merged.

Structure:
```
data_Co2O3F
_chemical_formula_sum 'Co20 O30 F10'
_symmetry_space_group_name_H-M 'A m m 2'
_symmetry_Int_Tables_number 38
_cell_length_a 14.755
_cell_length_b 6.050
_cell_length_c 6.324
_cell_angle_alpha 90.00
_cell_angle_beta 90.00
_cell_angle_gamma 90.00
loop_
_symmetry_equiv_pos_as_xyz
'x,y,z'
'-x,-y,z'
'-x,y,z'
'x,-y,z'
'x,y+1/2,z+1/2'
'-x,-y+1/2,z+1/2'
'-x,y+1/2,z+1/2'
'x,-y+1/2,z+1/2'
loop_
_atom_site_label
_atom_site_type_symbol
_atom_site_fract_x
_atom_site_fract_y
_atom_site_fract_z
_atom_site_occupancy
Co1 Co 0.000 0.000 0.000 1
Co2 Co 0.100 0.000 0.474 1
Co3 Co 0.200 0.000 0.949 1
Co4 Co 0.300 0.000 0.474 1
Co5 Co 0.400 0.000 0.998 1
Co6 Co 0.500 0.000 0.464 1
O1 O 0.000 0.000 0.284 1
O2 O 0.100 0.194 0.975 1
O3 O 0.200 0.000 0.666 1
O4 O 0.300 0.193 0.972 1
O5 O 0.399 0.000 0.280 1
O6 O 0.500 0.196 0.986 1
F1 F 0.000 0.000 0.694 1
F2 F 0.200 0.000 0.255 1
F3 F 0.403 0.000 0.687 1
```

Main lines, by angle (2θ = 10–80°):
| (hkl) | 2θ/deg | I_rel |
| --- | --- | --- |
| 0 0 2 | 28.22 | 76 |
| 0 2 0 | 29.53 | 80 |
| 5 1 1 | 36.74 | 100 |
| 0 2 2 | 41.30 | 15 |
| 5 0 2 | 41.87 | 13 |
| 5 1 3 | 55.70 | 45 |
| 5 3 1 | 57.21 | 47 |
| 0 0 4 | 58.37 | 13 |
| 0 4 0 | 61.28 | 12 |
| 10 0 0 | 63.00 | 15 |
| 10 2 0 | 71.09 | 11 |
| 5 3 3 | 72.31 | 29 |


For Co6O7F5, a DFT-relaxed cell (PBE+U, the Materials Project) gives the calculated X-ray powder pattern in this record (λ = 1.5418 Å (Cu Kα)).
Lines closer than 0.1° are merged.

Structure:
```
data_Co6O7F5
_chemical_formula_sum 'Co12 O14 F10'
_symmetry_space_group_name_H-M 'C 1 2 1'
_symmetry_Int_Tables_number 5
_cell_length_a 9.013
_cell_length_b 6.212
_cell_length_c 7.508
_cell_angle_alpha 90.00
_cell_angle_beta 114.44
_cell_angle_gamma 90.00
loop_
_symmetry_equiv_pos_as_xyz
'x,y,z'
'-x,y,-z'
'x+1/2,y+1/2,z'
'-x+1/2,y+1/2,-z'
loop_
_atom_site_label
_atom_site_type_symbol
_atom_site_fract_x
_atom_site_fract_y
_atom_site_fract_z
_atom_site_occupancy
Co1 Co 0.000 0.000 0.000 1
Co2 Co 0.000 0.023 0.500 1
Co3 Co 0.164 0.525 0.672 1
Co4 Co 0.188 0.528 0.145 1
O1 O 0.000 0.703 0.000 1
O2 O 0.159 0.222 0.667 1
O3 O 0.159 0.825 0.670 1
O4 O 0.222 0.014 0.035 1
F1 F 0.000 0.316 0.000 1
F2 F 0.073 0.521 0.371 1
F3 F 0.106 0.022 0.299 1
```

Main lines, by angle (2θ = 10–80°):
| (hkl) | 2θ/deg | I_rel |
| --- | --- | --- |
| 2 0 -2 | 26.13 | 100 |
| 0 2 0 | 28.74 | 90 |
| 1 1 2 | 35.45 | 60 |
| 3 1 0 | 35.88 | 51 |
| 2 2 -2 | 39.23 | 20 |
| 1 1 -4 | 52.08 | 32 |
| 5 1 -2 | 53.03 | 26 |
| 4 0 -4 | 53.78 | 18 |
| 1 3 2 | 55.37 | 27 |
| 3 3 0 | 55.68 | 24 |
| 4 0 2 | 61.61 | 17 |
| 1 3 -4 | 68.40 | 19 |


For Co3OF5, a DFT-relaxed cell (PBE+U, the Materials Project) gives the calculated X-ray powder pattern in this record (λ = 1.5418 Å (Cu Kα)).
Lines closer than 0.1° are merged.

Structure:
```
data_Co3OF5
_chemical_formula_sum 'Co6 O2 F10'
_symmetry_space_group_name_H-M 'P 1'
_symmetry_Int_Tables_number 1
_cell_length_a 4.732
_cell_length_b 5.675
_cell_length_c 7.833
_cell_angle_alpha 86.21
_cell_angle_beta 88.70
_cell_angle_gamma 88.04
loop_
_symmetry_equiv_pos_as_xyz
'x,y,z'
loop_
_atom_site_label
_atom_site_type_symbol
_atom_site_fract_x
_atom_site_fract_y
_atom_site_fract_z
_atom_site_occupancy
Co1 Co 0.000 0.000 0.000 1
Co2 Co 0.006 0.325 0.667 1
Co3 Co 0.016 0.674 0.318 1
Co4 Co 0.514 0.824 0.659 1
Co5 Co 0.534 0.157 0.318 1
Co6 Co 0.545 0.473 0.984 1
O1 O 0.818 0.271 0.904 1
O2 O 0.831 0.966 0.205 1
F1 F 0.207 0.020 0.774 1
F2 F 0.214 0.363 0.427 1
F3 F 0.226 0.706 0.076 1
F4 F 0.316 0.208 0.090 1
F5 F 0.325 0.863 0.426 1
F6 F 0.327 0.517 0.760 1
F7 F 0.709 0.472 0.222 1
F8 F 0.716 0.123 0.559 1
F9 F 0.725 0.772 0.886 1
F10 F 0.825 0.625 0.557 1
```

Main lines, by angle (2θ = 10–80°):
| (hkl) | 2θ/deg | I_rel |
| --- | --- | --- |
| 1 1 1 | 26.10 | 95 |
| -1 1 1 | 27.19 | 88 |
| 1 -1 2 | 34.42 | 100 |
| 0 2 2 | 38.04 | 16 |
| 1 -2 1 | 39.87 | 16 |
| 1 1 4 | 51.60 | 47 |
| 2 0 3 | 51.68 | 16 |
| 2 -2 1 | 52.85 | 53 |
| 2 2 2 | 53.70 | 18 |
| 0 2 -4 | 59.20 | 17 |
| 0 4 1 | 66.36 | 32 |
| 0 2 5 | 66.46 | 20 |


For CoO4F2, a DFT-relaxed cell (PBE+U, the Materials Project) gives the calculated X-ray powder pattern in this record (λ = 1.5418 Å (Cu Kα)).
Lines closer than 0.1° are merged.

Structure:
```
data_CoO4F2
_chemical_formula_sum 'Co4 O16 F8'
_symmetry_space_group_name_H-M 'P c a 21'
_symmetry_Int_Tables_number 29
_cell_length_a 11.317
_cell_length_b 4.752
_cell_length_c 6.771
_cell_angle_alpha 90.00
_cell_angle_beta 90.00
_cell_angle_gamma 90.00
loop_
_symmetry_equiv_pos_as_xyz
'x,y,z'
'-x,-y,z+1/2'
'-x+1/2,y,z+1/2'
'x+1/2,-y,z'
loop_
_atom_site_label
_atom_site_type_symbol
_atom_site_fract_x
_atom_site_fract_y
_atom_site_fract_z
_atom_site_occupancy
Co1 Co 0.124 0.209 0.000 1
O1 O 0.025 0.887 0.498 1
O2 O 0.097 0.456 0.813 1
O3 O 0.153 0.955 0.189 1
O4 O 0.225 0.296 0.505 1
F1 F 0.098 0.467 0.198 1
F2 F 0.155 0.945 0.807 1
```

Main lines, by angle (2θ = 10–80°):
| (hkl) | 2θ/deg | I_rel |
| --- | --- | --- |
| 1 1 0 | 20.27 | 48 |
| 2 0 1 | 20.46 | 100 |
| 1 1 1 | 24.19 | 60 |
| 4 0 0 | 31.62 | 23 |
| 1 1 2 | 33.45 | 34 |
| 2 1 2 | 36.24 | 9 |
| 1 1 3 | 45.19 | 10 |
| 5 1 1 | 46.42 | 9 |
| 0 2 2 | 46.70 | 20 |
| 6 0 1 | 50.21 | 14 |
| 4 2 2 | 57.50 | 11 |
| 2 2 3 | 58.74 | 15 |


For Co3O4F2, a DFT-relaxed cell (PBE+U, the Materials Project) gives the calculated X-ray powder pattern in this record (λ = 1.5418 Å (Cu Kα)).
Lines closer than 0.1° are merged.

Structure:
```
data_Co3O4F2
_chemical_formula_sum 'Co12 O16 F8'
_symmetry_space_group_name_H-M 'C 1 2/m 1'
_symmetry_Int_Tables_number 12
_cell_length_a 8.811
_cell_length_b 6.049
_cell_length_c 7.037
_cell_angle_alpha 90.00
_cell_angle_beta 112.93
_cell_angle_gamma 90.00
loop_
_symmetry_equiv_pos_as_xyz
'x,y,z'
'-x,-y,-z'
'-x,y,-z'
'x,-y,z'
'x+1/2,y+1/2,z'
'-x+1/2,-y+1/2,-z'
'-x+1/2,y+1/2,-z'
'x+1/2,-y+1/2,z'
loop_
_atom_site_label
_atom_site_type_symbol
_atom_site_fract_x
_atom_site_fract_y
_atom_site_fract_z
_atom_site_occupancy
Co1 Co 0.000 0.000 0.000 1
Co2 Co 0.000 0.000 0.500 1
Co3 Co 0.162 0.500 0.168 1
Co4 Co 0.184 0.500 0.665 1
O1 O 0.000 0.304 0.000 1
O2 O 0.090 0.000 0.293 1
O3 O 0.172 0.195 0.663 1
F1 F 0.060 0.500 0.357 1
F2 F 0.240 0.000 0.024 1
```

Main lines, by angle (2θ = 10–80°):
| (hkl) | 2θ/deg | I_rel |
| --- | --- | --- |
| 2 0 -2 | 27.74 | 98 |
| 0 2 0 | 29.54 | 100 |
| 3 1 0 | 36.39 | 63 |
| 1 1 2 | 36.77 | 62 |
| 2 2 -2 | 40.97 | 19 |
| 5 1 -2 | 54.61 | 30 |
| 1 1 -4 | 55.45 | 31 |
| 3 3 0 | 56.97 | 29 |
| 4 0 -4 | 57.27 | 49 |
| 4 0 2 | 62.80 | 17 |
| 5 3 -2 | 71.38 | 19 |
| 1 3 -4 | 72.11 | 20 |